For Sr4LiNd3S8, a crystal structure in Alexandria, relaxed with PBE gives the calculated powder XRD pattern in this record (a wavelength of 1.5418 Å).

Peak list (10 most intense, 2θ from 10° to 80°, low angle first)
two_theta  I_rel
13.09  12
26.11  12
26.35  34
30.45  100
43.45  36
43.76  36
51.67  12
54.24  19
71.69  16
72.14  16

Atomic structure:
```
Sr4LiNd3S8
1.0
4.138 2.389 6.826
-4.138 2.389 6.826
0.000 -4.778 6.826
Sr Li Nd S
4 1 3 8
Cartesian
0.000 0.000 0.000
-2.069 -1.194 6.826
-2.069 1.194 13.651
0.000 2.389 6.826
0.000 0.000 10.239
-4.138 0.000 10.239
-2.069 1.194 3.413
2.069 1.194 3.413
-2.068 -1.194 11.850
0.000 0.000 5.048
0.000 -2.388 8.627
-2.068 1.194 8.627
2.068 -1.194 11.850
0.000 2.388 11.850
0.000 0.000 15.429
2.068 1.194 8.627
```